Zr2In3Mo4C3: calculated powder diffraction line list (Cu Kα), based on a cell relaxed with PBE.
Kinematic intensities with the Lorentz-polarization factor, no thermal factor.

The 10 most intense peaks (10 to 80 degrees two-theta), most intense first:
two_theta	Rel. int.
37.43	100
37.55	49
32.08	33
38.21	30
57.15	17
50.67	14
68.51	13
70.33	13
70.77	12
57.29	9

Crystal structure
```
Zr2In3Mo4C3
1.0
4.825 -2.794 0.000
4.825 2.794 0.000
-3.278 0.000 14.133
Zr In Mo C
4 6 8 6
direct
0.032 0.867 0.595
0.133 0.968 0.905
0.867 0.032 0.095
0.968 0.133 0.405
0.085 0.296 0.750
0.296 0.085 0.250
0.466 0.534 0.750
0.534 0.466 0.250
0.704 0.915 0.750
0.915 0.704 0.250
0.192 0.356 0.075
0.306 0.477 0.425
0.356 0.192 0.575
0.477 0.306 0.925
0.523 0.694 0.075
0.644 0.808 0.425
0.694 0.523 0.575
0.808 0.644 0.925
0.000 0.500 0.500
0.168 0.663 0.000
0.337 0.832 0.500
0.500 0.000 0.000
0.663 0.168 0.500
0.832 0.337 0.000
```